This entry pairs a crystal structure of USeO5F with its calculated PXRD pattern. Radiation: Cu Kα. Structure: a crystal structure in Alexandria, relaxed with GGA-PBE.
Intensities are scaled so that the largest is 100.

Largest 10 diffraction maxima, by intensity, 2θ = 10–90°:
24.60 deg, I 100; 16.21 deg, I 73; 23.78 deg, I 63; 31.80 deg, I 38; 22.19 deg, I 38; 35.70 deg, I 37; 36.98 deg, I 24; 32.75 deg, I 22; 32.31 deg, I 22; 53.31 deg, I 15

Atomic structure:
```
data_USeO5F
_chemical_formula_sum 'U2 Se2 O10 F2'
_cell_length_a 5.6671
_cell_length_b 5.6671
_cell_length_c 8.2211
_cell_angle_alpha 104.69
_cell_angle_beta 104.69
_cell_angle_gamma 89.95
_symmetry_space_group_name_H-M 'P 1'
_symmetry_Int_Tables_number 1
loop_
_symmetry_equiv_pos_as_xyz
'x,y,z'
loop_
_atom_site_label
_atom_site_type_symbol
_atom_site_fract_x
_atom_site_fract_y
_atom_site_fract_z
U1 U 0.0000 0.0000 0.0000
U2 U 0.0000 0.0000 0.5000
Se1 Se 0.3890 0.6110 0.7500
Se2 Se 0.6110 0.3890 0.2500
O1 O 0.0403 0.9597 0.2500
O2 O 0.1742 0.3238 0.5803
O3 O 0.1974 0.6704 0.8859
O4 O 0.3238 0.1742 0.0803
O5 O 0.3296 0.8026 0.6141
O6 O 0.6704 0.1974 0.3859
O7 O 0.6762 0.8258 0.9197
O8 O 0.8026 0.3296 0.1141
O9 O 0.8258 0.6762 0.4197
O10 O 0.9597 0.0403 0.7500
F1 F 0.3665 0.6335 0.2500
F2 F 0.6335 0.3665 0.7500
```